(1)
Pm4CdHg3: simulated powder diffraction line list (λ = 1.5418 Å (Cu Kα)), based on a structure optimized by DFT (GGA-PBE).
Lines closer than 0.1° are merged.

Top 8 peaks for 2θ from 10° to 80°, in order of rising 2θ:
33.16 deg, I 100
33.29 deg, I 50
47.42 deg, I 9
47.70 deg, I 9
47.88 deg, I 9
59.16 deg, I 19
59.34 deg, I 19
59.46 deg, I 19

Structure:
Cell lengths 7.5997, 7.6267, 8.5537 Å; angles 90.00, 116.29, 90.00 degrees
Space group C2/m (No. 12)
Symmetry-distinct sites (fractional):
Pm: 0.1246 0.2500 0.2491 x8
Cd: 0.0000 0.0000 0.5000 x2
Hg: 0.0000 0.5000 0.5000 x2
Hg: 0.2493 0.0000 0.9989 x4

(2)
Pm3Cd2Hg4: simulated powder diffraction line list (λ = 1.5418 Å (Cu Kα)), based on a structure optimized by DFT (GGA-PBE).
Lines closer than 0.1° are merged.

Top 8 peaks for 2θ from 10° to 80°, in order of rising 2θ:
25.42 deg, I 12
32.83 deg, I 100
35.69 deg, I 32
35.82 deg, I 63
49.30 deg, I 21
62.49 deg, I 21
64.20 deg, I 12
64.90 deg, I 22

Structure:
Cell lengths 11.1486, 5.0314, 9.3548 Å; angles 90.00, 119.06, 90.00 degrees
Space group C2/m (No. 12)
Symmetry-distinct sites (fractional):
Pm: 0.0000 0.0000 0.0000 x2
Pm: 0.1638 0.5000 0.6697 x4
Cd: 0.1130 0.5000 0.2813 x4
Hg: 0.0645 0.0000 0.3947 x4
Hg: 0.2138 0.5000 0.0507 x4